No. 1
Starting from a cell relaxed with PBE, the X-ray diffraction stick pattern of Na8B11C5 was simulated for Cu Kα (λ = 1.5418 Å).

Structure:
a = 9.043 Å, b = 9.043 Å, c = 4.990 Å
α = 90.00°, β = 90.00°, γ = 142.75°
Sites, in units of the cell vectors:
Na: 0.124 0.377 0.502
Na: 0.126 0.874 0.000
Na: 0.373 0.627 0.003
Na: 0.377 0.124 0.502
Na: 0.623 0.876 0.502
Na: 0.627 0.373 0.003
Na: 0.874 0.126 0.000
Na: 0.876 0.623 0.502
B: 0.000 0.000 0.351
B: 0.000 0.500 0.169
B: 0.235 0.235 0.819
B: 0.250 0.750 0.669
B: 0.252 0.252 0.162
B: 0.500 0.000 0.169
B: 0.500 0.500 0.342
B: 0.500 0.500 0.686
B: 0.748 0.748 0.162
B: 0.750 0.250 0.669
B: 0.765 0.765 0.819
C: 0.000 0.000 0.666
C: 0.000 0.500 0.834
C: 0.250 0.750 0.334
C: 0.500 0.000 0.834
C: 0.750 0.250 0.334

Top 10 peaks for 2θ = 5–70°, low angle first:
2θ (°), I_rel
10.3, 1.0
20.7, 1.1
36.0, 18.3
41.9, 100.0
42.2, 25.4
56.6, 10.1
64.5, 5.8
64.7, 11.4
68.6, 0.5
68.7, 1.1

***

No. 2
Starting from a cell relaxed with PBE, the X-ray diffraction stick pattern of YTmTl6 was simulated for Cu Kα (λ = 1.5418 Å).

Structure:
a = 4.758 Å, b = 4.758 Å, c = 9.520 Å
α = 90.00°, β = 90.00°, γ = 90.00°
Sites, in units of the cell vectors:
Y: 0.000 0.000 0.000
Tm: 0.000 0.000 0.500
Tl: 0.000 0.500 0.252
Tl: 0.000 0.500 0.748
Tl: 0.500 0.000 0.252
Tl: 0.500 0.000 0.748
Tl: 0.500 0.500 0.000
Tl: 0.500 0.500 0.500

Top 10 peaks for 2θ = 5–70°, low angle first:
2θ (°), I_rel
9.3, 1.4
18.6, 2.5
26.5, 2.3
32.6, 100.0
37.8, 50.5
42.5, 1.4
46.8, 1.1
54.5, 35.5
65.0, 42.1
68.3, 12.1